Calculated powder diffraction line list of Fe5HO8 for Cu Kα, 1.54184 Å, from a PBE+U-relaxed structure.

The 8 most intense peaks (10° ≤ 2θ ≤ 80°), in order of falling intensity:
(2 2 1), 36.2°, I 100; (1 1 3), 34.2°, I 72; (4 0 0), 62.3°, I 48; (0 2 2), 26.1°, I 44; (0 0 2), 19.4°, I 35; (2 6 0), 62.8°, I 32; (0 4 1), 36.5°, I 27; (2 0 2), 36.0°, I 26

Cell and atoms:
```
data_Fe5HO8
_symmetry_space_group_name_H-M 'C m c 21'
_symmetry_Int_Tables_number 36
_symmetry_space_group_name_Hall 'C 2c -2'
_cell_length_a 5.959
_cell_length_b 10.227
_cell_length_c 9.151
_cell_angle_alpha 90.00
_cell_angle_beta 90.00
_cell_angle_gamma 90.00
loop_
_atom_site_label
_atom_site_fract_x
_atom_site_fract_y
_atom_site_fract_z
_atom_site_occupancy
Fe1 0.000 0.169 0.000 1
Fe2 0.000 0.171 0.626 1
Fe3 0.000 0.330 0.296 1
Fe4 0.248 0.079 0.293 1
H1 0.000 0.467 0.065 1
O1 0.000 0.014 0.167 1
O2 0.000 0.172 0.419 1
O3 0.000 0.344 0.903 1
O4 0.000 0.486 0.171 1
O5 0.223 0.239 0.170 1
O6 0.246 0.414 0.399 1
```